# 1
Diffraction record for Tb4Pr4Dy3. The powder diffraction line list is simulated, not measured: it uses a DFT-relaxed cell (GGA-PBE, Alexandria) and Cu Kα (weighted mean of Kα1 and Kα2).
Lines closer than 0.1° are merged.

Crystal structure
a b c (Å): 3.5520 5.7184 18.2930
angles (deg): 98.98 95.57 90.01
Space group P-1 (No. 2)
Symmetry-distinct sites (fractional):
Tb (0.0446, 0.0458, 0.0905) (multiplicity 2)
Tb (0.1806, 0.6809, 0.3613) (multiplicity 2)
Pr (0.0903, 0.5910, 0.1810) (multiplicity 2)
Pr (0.2315, 0.2316, 0.4627) (multiplicity 2)
Dy (0.3649, 0.8640, 0.7291) (multiplicity 2)
Dy (0.5000, 0.5000, 0.0000) (multiplicity 1)

The 10 most intense peaks (2θ from 15° to 90°), sorted by position:
hkl 1 0 -4, 30.6 deg, intensity 29
hkl 0 2 -1, 31.3 deg, intensity 100
hkl 0 1 5, 31.5 deg, intensity 72
hkl -1 2 3, 44.3 deg, intensity 21
hkl 1 0 7, 45.7 deg, intensity 12
hkl 1 -3 3, 55.7 deg, intensity 12
hkl 0 3 4, 55.8 deg, intensity 14
hkl 1 -2 8, 56.4 deg, intensity 13
hkl 2 2 -2, 61.5 deg, intensity 11
hkl 2 1 4, 61.6 deg, intensity 21

***

# 2
Diffraction record for NdPa2Al9. The powder diffraction line list is simulated, not measured: it uses a DFT-relaxed cell (GGA-PBE, Alexandria) and Cu Kα (weighted mean of Kα1 and Kα2).
Lines closer than 0.1° are merged.

Crystal structure
a b c (Å): 4.3198 4.3198 13.0065
angles (deg): 90.00 90.00 90.00
Space group P4/mmm (No. 123)
Symmetry-distinct sites (fractional):
Nd (0.0000, 0.0000, 0.0000) (multiplicity 1)
Pa (0.0000, 0.0000, 0.3348) (multiplicity 2)
Al (0.0000, 0.5000, 0.1699) (multiplicity 4)
Al (0.0000, 0.5000, 0.5000) (multiplicity 2)
Al (0.5000, 0.5000, 0.0000) (multiplicity 1)
Al (0.5000, 0.5000, 0.3344) (multiplicity 2)

The 10 most intense peaks (2θ from 15° to 90°), sorted by position:
hkl 1 0 0, 20.5 deg, intensity 100
hkl 1 1 0, 29.2 deg, intensity 86
hkl 1 1 3, 36.0 deg, intensity 89
hkl 2 0 0, 41.8 deg, intensity 29
hkl 1 0 6, 46.9 deg, intensity 16
hkl 2 1 0, 47.0 deg, intensity 32
hkl 2 1 3, 51.8 deg, intensity 24
hkl 2 0 6, 60.5 deg, intensity 20
hkl 2 2 3, 64.7 deg, intensity 19
hkl 3 1 3, 72.6 deg, intensity 23